The following is a simulated X-ray powder pattern of Nb6Ir10Ru. It was derived from a structure optimized by DFT (PBE), using a wavelength of 1.5418 Å.
Neutral-atom scattering factors, no anomalous dispersion.

Structure:
Lattice parameters (Å, degrees): 7.6406 7.6406 5.4912 90.00 90.00 120.00
Space group P-31m (No. 162)
Symmetry-distinct sites (fractional):
Nb: 0.0000 0.3522 0.2989
Ir: 0.0000 0.2985 0.8176
Ir: 0.3333 0.6667 0.0000
Ir: 0.3333 0.6667 0.5000
Ru: 0.0000 0.0000 0.5000

Top 12 peaks for 2θ = 10–80°, in order of rising 2θ:
two_theta, intensity, index
13.38, 6, 1 0 0
26.95, 9, 2 0 0
28.46, 17, 2 -1 1
35.91, 7, 2 1 0
39.60, 15, 3 -1 1
40.46, 100, 1 1 2
40.92, 90, 3 0 0
58.90, 30, 4 -2 2
63.59, 6, 3 2 1
73.27, 15, 2 -1 4
74.20, 26, 4 1 2
74.51, 11, 3 3 0

The following is a simulated X-ray powder pattern of Nb14IrRu. It was derived from a structure optimized by DFT (PBE), using a wavelength of 1.5418 Å.
Neutral-atom scattering factors, no anomalous dispersion.

Structure:
Lattice parameters (Å, degrees): 6.547 9.340 9.232 90.00 90.00 90.00
Space group Cmmm (No. 65)
Symmetry-distinct sites (fractional):
Nb: 0.000 0.000 0.000
Nb: 0.000 0.249 0.254
Nb: 0.000 0.500 0.000
Nb: 0.248 0.500 0.258
Nb: 0.250 0.250 0.000
Nb: 0.250 0.250 0.500
Ir: 0.000 0.000 0.500
Ru: 0.000 0.500 0.500

Top 12 peaks for 2θ = 10–80°, in order of rising 2θ:
two_theta, intensity, index
16.54, 1, 1 1 0
19.17, 2, 0 0 2
21.32, 1, 0 2 1
38.56, 26, 0 4 0
38.85, 100, 2 2 2
39.03, 24, 0 0 4
44.84, 1, 2 2 3
56.02, 17, 0 4 4
56.20, 8, 4 0 0
69.95, 17, 2 6 2
70.23, 8, 4 4 0
70.57, 24, 4 0 4

The following is a simulated X-ray powder pattern of TaNb2Ir5Ru. It was derived from a structure optimized by DFT (PBE), using a wavelength of 1.5418 Å.
Neutral-atom scattering factors, no anomalous dispersion.

Structure:
Lattice parameters (Å, degrees): 7.501 7.501 10.820 90.00 90.00 90.00
Space group I4/mcm (No. 140)
Symmetry-distinct sites (fractional):
Ta: 0.000 0.000 0.250
Nb: 0.115 0.385 0.000
Ir: 0.000 0.000 0.000
Ir: 0.197 0.303 0.368
Ru: 0.000 0.500 0.250

Top 12 peaks for 2θ = 10–80°, in order of rising 2θ:
two_theta, intensity, index
27.84, 14, 2 1 1
33.80, 65, 2 2 0
36.58, 53, 2 1 3
37.93, 33, 3 1 0
41.15, 100, 2 0 4
44.34, 15, 3 2 1
50.17, 12, 2 1 5
50.90, 23, 4 1 1
56.67, 20, 4 1 3
62.79, 13, 3 3 4
65.48, 15, 4 2 4
73.25, 13, 5 1 4